Structure and calculated powder diffractogram of Ca3CoF8 (a cell relaxed with GGA+U; Cu Kα, 1.54184 Å).
Intensities are scaled so that the largest is 1000.

Structural model:
Lattice parameters (Å, degrees): 6.0181 10.6428 6.6364 90.00 90.00 90.00
Space group C222 (No. 21)
Unique sites:
Ca  0.0000  0.0000  0.0000 x2
Ca  0.2500  0.2500  0.7428 x4
Co  0.0000  0.0000  0.5000 x2
F  0.0000  0.1959  0.5000 x4
F  0.0000  0.2138  0.0000 x4
F  0.2256  0.0334  0.7332 x8

Peak list (10 most intense, 2θ = 10–90°, in order of falling intensity)
2θ (°)  Rel. int.  h k l
16.9  1000  1 1 0
21.6  628  1 1 1
40.5  586  2 0 2
33.7  332  0 4 0
53.6  290  2 4 2
31.9  273  1 1 2
47.3  141  1 5 1
53.4  123  1 5 2
45.2  121  1 5 0
55.4  99  0 0 4